This entry pairs a crystal structure of Pm3Al2Pd with its simulated powder diffractogram. Radiation: Cu Kα. Structure: the GGA-PBE geometry in Alexandria.
No peak broadening, texture or thermal motion is included.

Top 10 peaks for 15 to 90 degrees two-theta, low angle first:
- 2θ 27.2, rel. 100
- 2θ 35.6, rel. 62
- 2θ 41.9, rel. 31
- 2θ 45.4, rel. 25
- 2θ 56.1, rel. 13
- 2θ 58.9, rel. 23
- 2θ 59.9, rel. 11
- 2θ 63.9, rel. 11
- 2θ 68.2, rel. 15
- 2θ 87.8, rel. 9

Cell and atoms:
Cell lengths 7.0717, 7.0717, 7.0717 Å; angles 76.34, 76.34, 76.34 degrees
Fractional positions:
1 Pm 0.0859 0.7500 0.4141
2 Pm 0.2500 0.5859 0.9141
3 Pm 0.4141 0.0859 0.7500
4 Pm 0.5859 0.9141 0.2500
5 Pm 0.7500 0.4141 0.0859
6 Pm 0.9141 0.2500 0.5859
7 Al 0.1652 0.1652 0.1652
8 Al 0.3348 0.3348 0.3348
9 Al 0.6652 0.6652 0.6652
10 Al 0.8348 0.8348 0.8348
11 Pd 0.0000 0.0000 0.0000
12 Pd 0.5000 0.5000 0.5000

This entry pairs a crystal structure of Pm8AlPd2 with its simulated powder diffractogram. Radiation: Cu Kα. Structure: the GGA-PBE geometry in Alexandria.
No peak broadening, texture or thermal motion is included.

Top 10 peaks for 15 to 90 degrees two-theta, low angle first:
- 2θ 24.6, rel. 38
- 2θ 29.5, rel. 42
- 2θ 30.6, rel. 59
- 2θ 30.7, rel. 100
- 2θ 31.9, rel. 77
- 2θ 32.9, rel. 46
- 2θ 33.3, rel. 81
- 2θ 36.6, rel. 46
- 2θ 52.7, rel. 35
- 2θ 62.1, rel. 38

Cell and atoms:
Cell lengths 8.2457, 8.2457, 5.5452 Å; angles 98.95, 98.95, 115.08 degrees
Fractional positions:
1 Pm 0.0000 0.0000 0.0000
2 Pm 0.0627 0.3038 0.6124
3 Pm 0.1499 0.6242 0.1850
4 Pm 0.3038 0.0627 0.6124
5 Pm 0.4687 0.7094 0.7587
6 Pm 0.6242 0.1499 0.1850
7 Pm 0.7094 0.4687 0.7587
8 Pm 0.7724 0.7724 0.3705
9 Al 0.3862 0.3862 0.1855
10 Pd 0.0808 0.6899 0.6841
11 Pd 0.6899 0.0808 0.6841

This entry pairs a crystal structure of PmAl9Pd2 with its simulated powder diffractogram. Radiation: Cu Kα. Structure: the GGA-PBE geometry in Alexandria.
No peak broadening, texture or thermal motion is included.

Top 10 peaks for 15 to 90 degrees two-theta, low angle first:
- 2θ 22.3, rel. 100
- 2θ 29.8, rel. 22
- 2θ 32.6, rel. 69
- 2θ 33.4, rel. 34
- 2θ 36.3, rel. 59
- 2θ 37.5, rel. 34
- 2θ 38.3, rel. 35
- 2θ 45.4, rel. 44
- 2θ 47.3, rel. 24
- 2θ 56.5, rel. 23

Cell and atoms:
Cell lengths 8.3998, 8.3998, 8.3998 Å; angles 100.64, 100.64, 129.10 degrees
Fractional positions:
1 Pm 0.3750 0.6250 0.7500
2 Pm 0.6250 0.3750 0.2500
3 Al 0.1250 0.8750 0.2500
4 Al 0.1336 0.5589 0.3301
5 Al 0.1336 0.8035 0.5747
6 Al 0.1965 0.2712 0.3301
7 Al 0.1965 0.8664 0.9253
8 Al 0.2712 0.1965 0.8301
9 Al 0.2712 0.4411 0.0747
10 Al 0.4411 0.2712 0.5747
11 Al 0.4411 0.8664 0.1699
12 Al 0.5589 0.1336 0.8301
13 Al 0.5589 0.7288 0.4253
14 Al 0.7288 0.5589 0.9253
15 Al 0.7288 0.8035 0.1699
16 Al 0.8035 0.1336 0.0747
17 Al 0.8035 0.7288 0.6699
18 Al 0.8664 0.1965 0.4253
19 Al 0.8664 0.4411 0.6699
20 Al 0.8750 0.1250 0.7500
21 Pd 0.0000 0.0000 0.0000
22 Pd 0.0000 0.0000 0.5000
23 Pd 0.0000 0.5000 0.0000
24 Pd 0.5000 0.0000 0.5000

This entry pairs a crystal structure of Pm2Al5Pd5 with its simulated powder diffractogram. Radiation: Cu Kα. Structure: the GGA-PBE geometry in Alexandria.
No peak broadening, texture or thermal motion is included.

Top 10 peaks for 15 to 90 degrees two-theta, low angle first:
- 2θ 20.8, rel. 42
- 2θ 28.2, rel. 20
- 2θ 32.8, rel. 37
- 2θ 33.2, rel. 32
- 2θ 39.2, rel. 100
- 2θ 39.4, rel. 34
- 2θ 42.2, rel. 27
- 2θ 54.5, rel. 18
- 2θ 63.3, rel. 24
- 2θ 75.2, rel. 21

Cell and atoms:
Cell lengths 4.2784, 5.4039, 9.4755 Å; angles 90.00, 90.00, 90.00 degrees
Fractional positions:
1 Pm 0.0000 0.0000 0.0000
2 Pm 0.0000 0.5000 0.5000
3 Al 0.5000 0.0000 0.5000
4 Al 0.5000 0.2488 0.2390
5 Al 0.5000 0.2488 0.7610
6 Al 0.5000 0.7512 0.2390
7 Al 0.5000 0.7512 0.7610
8 Pd 0.0000 0.0000 0.3349
9 Pd 0.0000 0.0000 0.6651
10 Pd 0.0000 0.5000 0.1888
11 Pd 0.0000 0.5000 0.8112
12 Pd 0.5000 0.5000 0.0000

This entry pairs a crystal structure of PmAl4Pd6 with its simulated powder diffractogram. Radiation: Cu Kα. Structure: the GGA-PBE geometry in Alexandria.
No peak broadening, texture or thermal motion is included.

Top 10 peaks for 15 to 90 degrees two-theta, low angle first:
- 2θ 26.7, rel. 18
- 2θ 28.1, rel. 20
- 2θ 36.4, rel. 100
- 2θ 37.4, rel. 25
- 2θ 42.7, rel. 15
- 2θ 44.2, rel. 18
- 2θ 46.2, rel. 18
- 2θ 49.7, rel. 18
- 2θ 68.7, rel. 15
- 2θ 79.2, rel. 17

Cell and atoms:
Cell lengths 7.3383, 7.3383, 3.9275 Å; angles 90.00, 90.00, 120.00 degrees
Fractional positions:
1 Pm 0.0000 0.0000 0.0000
2 Al 0.2015 0.4029 0.5000
3 Al 0.2015 0.7985 0.5000
4 Al 0.5971 0.7985 0.5000
5 Al 0.6667 0.3333 0.0000
6 Pd 0.0662 0.5331 0.0000
7 Pd 0.3975 0.1988 0.5000
8 Pd 0.4669 0.5331 0.0000
9 Pd 0.4669 0.9338 0.0000
10 Pd 0.8012 0.1988 0.5000
11 Pd 0.8012 0.6025 0.5000

This entry pairs a crystal structure of PmAl2Pd3 with its simulated powder diffractogram. Radiation: Cu Kα. Structure: the GGA-PBE geometry in Alexandria.
No peak broadening, texture or thermal motion is included.

Top 10 peaks for 15 to 90 degrees two-theta, low angle first:
- 2θ 32.7, rel. 45
- 2θ 32.9, rel. 45
- 2θ 33.6, rel. 100
- 2θ 33.8, rel. 46
- 2θ 39.6, rel. 17
- 2θ 43.8, rel. 18
- 2θ 46.1, rel. 26
- 2θ 47.9, rel. 30
- 2θ 59.2, rel. 29
- 2θ 66.3, rel. 16

Cell and atoms:
Cell lengths 6.4403, 6.4403, 5.4465 Å; angles 90.00, 90.00, 79.76 degrees
Fractional positions:
1 Pm 0.1786 0.8214 0.7500
2 Pm 0.8214 0.1786 0.2500
3 Al 0.2810 0.2810 0.0000
4 Al 0.2810 0.2810 0.5000
5 Al 0.7190 0.7190 0.0000
6 Al 0.7190 0.7190 0.5000
7 Pd 0.0428 0.6168 0.2500
8 Pd 0.3832 0.9572 0.2500
9 Pd 0.4694 0.5306 0.2500
10 Pd 0.5306 0.4694 0.7500
11 Pd 0.6168 0.0428 0.7500
12 Pd 0.9572 0.3832 0.7500

This entry pairs a crystal structure of PmPrAl2Pd with its simulated powder diffractogram. Radiation: Cu Kα. Structure: the GGA-PBE geometry in Alexandria.
No peak broadening, texture or thermal motion is included.

Top 10 peaks for 15 to 90 degrees two-theta, low angle first:
- 2θ 20.2, rel. 29
- 2θ 28.8, rel. 29
- 2θ 30.3, rel. 26
- 2θ 32.0, rel. 100
- 2θ 38.3, rel. 23
- 2θ 41.2, rel. 15
- 2θ 42.3, rel. 16
- 2θ 43.0, rel. 17
- 2θ 49.6, rel. 13
- 2θ 58.9, rel. 13

Cell and atoms:
Cell lengths 4.2109, 4.7041, 12.3839 Å; angles 90.00, 90.00, 90.00 degrees
Fractional positions:
1 Pm 0.0000 0.0000 0.0000
2 Pm 0.5000 0.5000 0.5000
3 Pr 0.0000 0.5000 0.2390
4 Pr 0.5000 0.0000 0.7390
5 Al 0.0000 0.0000 0.5080
6 Al 0.0000 0.5000 0.8495
7 Al 0.5000 0.0000 0.3495
8 Al 0.5000 0.5000 0.0080
9 Pd 0.0000 0.5000 0.6501
10 Pd 0.5000 0.0000 0.1501

This entry pairs a crystal structure of Pr2AlPd4 with its simulated powder diffractogram. Radiation: Cu Kα. Structure: the GGA-PBE geometry in Alexandria.
No peak broadening, texture or thermal motion is included.

Top 10 peaks for 15 to 90 degrees two-theta, low angle first:
- 2θ 20.3, rel. 29
- 2θ 29.5, rel. 42
- 2θ 36.0, rel. 100
- 2θ 41.1, rel. 19
- 2θ 41.2, rel. 18
- 2θ 43.2, rel. 19
- 2θ 51.5, rel. 12
- 2θ 59.7, rel. 10
- 2θ 61.2, rel. 23
- 2θ 74.6, rel. 12

Cell and atoms:
Cell lengths 6.1998, 6.0671, 6.0580 Å; angles 61.50, 59.32, 59.18 degrees
Fractional positions:
1 Pr 0.2500 0.2500 0.2500
2 Pr 0.7500 0.7500 0.7500
3 Al 0.0000 0.0000 0.0000
4 Pd 0.2790 0.2790 0.7210
5 Pd 0.2801 0.7199 0.2801
6 Pd 0.7199 0.2801 0.7199
7 Pd 0.7210 0.7210 0.2790

This entry pairs a crystal structure of Pr3Al3Pd2 with its simulated powder diffractogram. Radiation: Cu Kα. Structure: the GGA-PBE geometry in Alexandria.
No peak broadening, texture or thermal motion is included.

Top 10 peaks for 15 to 90 degrees two-theta, low angle first:
- 2θ 24.0, rel. 22
- 2θ 31.3, rel. 100
- 2θ 32.8, rel. 78
- 2θ 34.7, rel. 23
- 2θ 36.7, rel. 29
- 2θ 38.7, rel. 32
- 2θ 39.0, rel. 42
- 2θ 39.9, rel. 22
- 2θ 52.9, rel. 32
- 2θ 56.1, rel. 22

Cell and atoms:
Cell lengths 5.6996, 5.6996, 15.5046 Å; angles 90.00, 90.00, 132.18 degrees
Fractional positions:
1 Pr 0.0840 0.9160 0.6118
2 Pr 0.0840 0.9160 0.8882
3 Pr 0.3826 0.6174 0.7500
4 Pr 0.6174 0.3826 0.2500
5 Pr 0.9160 0.0840 0.1118
6 Pr 0.9160 0.0840 0.3882
7 Al 0.3184 0.6816 0.2500
8 Al 0.3714 0.6286 0.5341
9 Al 0.3714 0.6286 0.9659
10 Al 0.6286 0.3714 0.0341
11 Al 0.6286 0.3714 0.4659
12 Al 0.6816 0.3184 0.7500
13 Pd 0.2049 0.7951 0.1001
14 Pd 0.2049 0.7951 0.3999
15 Pd 0.7951 0.2049 0.6001
16 Pd 0.7951 0.2049 0.8999

This entry pairs a crystal structure of Pr2Al5Pd3 with its simulated powder diffractogram. Radiation: Cu Kα. Structure: the GGA-PBE geometry in Alexandria.
No peak broadening, texture or thermal motion is included.

Top 10 peaks for 15 to 90 degrees two-theta, low angle first:
- 2θ 22.5, rel. 35
- 2θ 27.9, rel. 21
- 2θ 30.5, rel. 20
- 2θ 32.5, rel. 23
- 2θ 32.8, rel. 35
- 2θ 32.9, rel. 100
- 2θ 35.1, rel. 36
- 2θ 38.2, rel. 27
- 2θ 41.9, rel. 57
- 2θ 55.8, rel. 23

Cell and atoms:
Cell lengths 8.7728, 8.7728, 8.7728 Å; angles 106.42, 86.58, 140.99 degrees
Fractional positions:
1 Pr 0.1394 0.2242 0.3636
2 Pr 0.3606 0.7242 0.0848
3 Pr 0.6394 0.2758 0.9152
4 Pr 0.8606 0.7758 0.6364
5 Al 0.0361 0.7500 0.2861
6 Al 0.0953 0.6625 0.7578
7 Al 0.2500 0.2500 0.0000
8 Al 0.4047 0.1625 0.5672
9 Al 0.4639 0.7500 0.7139
10 Al 0.5361 0.2500 0.2861
11 Al 0.5953 0.8375 0.4328
12 Al 0.7500 0.7500 0.0000
13 Al 0.9047 0.3375 0.2422
14 Al 0.9639 0.2500 0.7139
15 Pd 0.1400 0.8996 0.0396
16 Pd 0.2500 0.7500 0.5000
17 Pd 0.3600 0.3996 0.7596
18 Pd 0.6400 0.6004 0.2404
19 Pd 0.7500 0.2500 0.5000
20 Pd 0.8600 0.1004 0.9604

This entry pairs a crystal structure of Pr2Al9Pd6 with its simulated powder diffractogram. Radiation: Cu Kα. Structure: the GGA-PBE geometry in Alexandria.
No peak broadening, texture or thermal motion is included.

Top 10 peaks for 15 to 90 degrees two-theta, low angle first:
- 2θ 19.9, rel. 14
- 2θ 21.3, rel. 37
- 2θ 32.5, rel. 60
- 2θ 39.2, rel. 100
- 2θ 43.4, rel. 16
- 2θ 55.2, rel. 25
- 2θ 62.5, rel. 25
- 2θ 68.1, rel. 13
- 2θ 76.8, rel. 12
- 2θ 84.2, rel. 14

Cell and atoms:
Cell lengths 5.5107, 5.5107, 12.5107 Å; angles 90.00, 90.00, 120.00 degrees
Fractional positions:
1 Pr 0.0000 0.0000 0.1604
2 Pr 0.0000 0.0000 0.8396
3 Al 0.0000 0.5000 0.0000
4 Al 0.0000 0.5000 0.3397
5 Al 0.0000 0.5000 0.6603
6 Al 0.5000 0.0000 0.0000
7 Al 0.5000 0.0000 0.3397
8 Al 0.5000 0.0000 0.6603
9 Al 0.5000 0.5000 0.0000
10 Al 0.5000 0.5000 0.3397
11 Al 0.5000 0.5000 0.6603
12 Pd 0.3333 0.6667 0.1728
13 Pd 0.3333 0.6667 0.5000
14 Pd 0.3333 0.6667 0.8272
15 Pd 0.6667 0.3333 0.1728
16 Pd 0.6667 0.3333 0.5000
17 Pd 0.6667 0.3333 0.8272

This entry pairs a crystal structure of PrAl9Pd2 with its simulated powder diffractogram. Radiation: Cu Kα. Structure: the GGA-PBE geometry in Alexandria.
No peak broadening, texture or thermal motion is included.

Top 10 peaks for 15 to 90 degrees two-theta, low angle first:
- 2θ 22.2, rel. 100
- 2θ 29.7, rel. 22
- 2θ 32.5, rel. 69
- 2θ 33.4, rel. 35
- 2θ 36.2, rel. 58
- 2θ 37.4, rel. 34
- 2θ 38.2, rel. 35
- 2θ 45.3, rel. 46
- 2θ 47.3, rel. 24
- 2θ 56.3, rel. 23

Cell and atoms:
Cell lengths 8.4173, 8.4173, 8.4173 Å; angles 100.68, 100.68, 129.01 degrees
Fractional positions:
1 Pr 0.3750 0.6250 0.7500
2 Pr 0.6250 0.3750 0.2500
3 Al 0.1250 0.8750 0.2500
4 Al 0.1346 0.5596 0.3301
5 Al 0.1346 0.8045 0.5751
6 Al 0.1955 0.2705 0.3301
7 Al 0.1955 0.8654 0.9249
8 Al 0.2705 0.1955 0.8301
9 Al 0.2705 0.4404 0.0751
10 Al 0.4404 0.2705 0.5751
11 Al 0.4404 0.8654 0.1699
12 Al 0.5596 0.1346 0.8301
13 Al 0.5596 0.7295 0.4249
14 Al 0.7295 0.5596 0.9249
15 Al 0.7295 0.8045 0.1699
16 Al 0.8045 0.1346 0.0751
17 Al 0.8045 0.7295 0.6699
18 Al 0.8654 0.1955 0.4249
19 Al 0.8654 0.4404 0.6699
20 Al 0.8750 0.1250 0.7500
21 Pd 0.0000 0.0000 0.0000
22 Pd 0.0000 0.0000 0.5000
23 Pd 0.0000 0.5000 0.0000
24 Pd 0.5000 0.0000 0.5000